Theoretical PXRD pattern
Compound: Na3LiGa4Si8O24
Radiation: Cu Kα, 1.54184 Å
Structure: DFT lattice parameters and positions (PBE)

The 12 most intense peaks (2θ = 10–90°), most intense first:
2θ/deg, d [Å], intensity
29.69, 3.009, 100
13.92, 6.362, 64
30.84, 2.899, 53
36.52, 2.460, 37
35.46, 2.532, 37
35.15, 2.553, 32
19.86, 4.471, 31
42.43, 2.131, 21
41.18, 2.192, 20
20.19, 4.398, 19
67.43, 1.389, 18
56.87, 1.619, 18

Structure:
Cell: 5.343 8.796 9.480 Å, 90.00 103.66 90.00°
Atoms (fractional coordinates):
Na 0.000 0.000 0.000
Na 0.000 0.095 0.500
Na 0.500 0.501 0.500
Li 0.500 0.556 0.000
Ga 0.000 0.400 0.000
Ga 0.000 0.699 0.500
Ga 0.500 0.194 0.000
Ga 0.500 0.896 0.500
Si 0.193 0.390 0.709
Si 0.202 0.707 0.206
Si 0.301 0.886 0.792
Si 0.308 0.207 0.291
Si 0.692 0.207 0.709
Si 0.699 0.886 0.208
Si 0.798 0.707 0.794
Si 0.807 0.390 0.291
O 0.080 0.791 0.853
O 0.088 0.305 0.350
O 0.192 0.556 0.640
O 0.209 0.540 0.135
O 0.226 0.875 0.613
O 0.230 0.219 0.111
O 0.274 0.382 0.889
O 0.275 0.718 0.386
O 0.302 0.056 0.858
O 0.308 0.040 0.360
O 0.411 0.291 0.648
O 0.418 0.804 0.145
O 0.582 0.804 0.855
O 0.589 0.291 0.352
O 0.692 0.040 0.640
O 0.698 0.056 0.142
O 0.725 0.718 0.614
O 0.726 0.382 0.111
O 0.770 0.219 0.889
O 0.774 0.875 0.387
O 0.791 0.540 0.865
O 0.808 0.556 0.360
O 0.912 0.305 0.650
O 0.920 0.791 0.147